1.
Starting from the GGA-PBE geometry in Alexandria, the powder diffraction line list of Tb4TlCd2 was calculated for Cu Kα, 1.54184 Å.
Intensities are scaled so that the largest is 100.

Top 12 peaks for 15° ≤ 2θ ≤ 90°, low angle first:
2θ/deg	I_rel
20.46	23
25.26	60
29.32	17
35.44	100
36.60	56
39.25	27
44.02	14
51.86	20
57.74	13
63.63	18
64.39	21
66.19	14

```
Tb4TlCd2
1.0
2.533 1.462 9.877
-2.533 1.462 9.877
0.000 -2.925 9.877
Tb Tl Cd
4 1 2
direct
0.121 0.121 0.121
0.299 0.299 0.299
0.701 0.701 0.701
0.879 0.879 0.879
0.500 0.500 0.500
0.402 0.402 0.402
0.598 0.598 0.598
```

=====

2.
Starting from the GGA-PBE geometry in Alexandria, the powder diffraction line list of Ti6HN2 was calculated for Cu Kα, 1.54184 Å.
Intensities are scaled so that the largest is 100.

Top 12 peaks for 15° ≤ 2θ ≤ 90°, low angle first:
2θ/deg	I_rel
19.74	4
34.54	16
37.61	21
39.49	100
51.98	19
61.89	17
69.14	16
72.85	2
74.73	14
75.94	11
80.28	3
85.01	4

```
Ti6HN2
1.0
5.193 0.000 0.000
-2.597 4.498 0.000
0.000 0.000 4.783
Ti H N
6 1 2
direct
0.000 0.347 0.255
0.000 0.653 0.745
0.347 0.000 0.255
0.347 0.347 0.745
0.653 0.000 0.745
0.653 0.653 0.255
0.000 0.000 0.000
0.333 0.667 0.000
0.667 0.333 0.000
```

=====

Repeat the second record exactly.
Starting from the GGA-PBE geometry in Alexandria, the powder diffraction line list of Ti6HN2 was calculated for Cu Kα, 1.54184 Å.
Intensities are scaled so that the largest is 100.

Top 12 peaks for 15° ≤ 2θ ≤ 90°, low angle first:
2θ/deg	I_rel
19.74	4
34.54	16
37.61	21
39.49	100
51.98	19
61.89	17
69.14	16
72.85	2
74.73	14
75.94	11
80.28	3
85.01	4

```
Ti6HN2
1.0
5.193 0.000 0.000
-2.597 4.498 0.000
0.000 0.000 4.783
Ti H N
6 1 2
direct
0.000 0.347 0.255
0.000 0.653 0.745
0.347 0.000 0.255
0.347 0.347 0.745
0.653 0.000 0.745
0.653 0.653 0.255
0.000 0.000 0.000
0.333 0.667 0.000
0.667 0.333 0.000
```

=====

Repeat the second record exactly.
Starting from the GGA-PBE geometry in Alexandria, the powder diffraction line list of Ti6HN2 was calculated for Cu Kα, 1.54184 Å.
Intensities are scaled so that the largest is 100.

Top 12 peaks for 15° ≤ 2θ ≤ 90°, low angle first:
2θ/deg	I_rel
19.74	4
34.54	16
37.61	21
39.49	100
51.98	19
61.89	17
69.14	16
72.85	2
74.73	14
75.94	11
80.28	3
85.01	4

```
Ti6HN2
1.0
5.193 0.000 0.000
-2.597 4.498 0.000
0.000 0.000 4.783
Ti H N
6 1 2
direct
0.000 0.347 0.255
0.000 0.653 0.745
0.347 0.000 0.255
0.347 0.347 0.745
0.653 0.000 0.745
0.653 0.653 0.255
0.000 0.000 0.000
0.333 0.667 0.000
0.667 0.333 0.000
```